Theoretical X-ray diffraction stick pattern
Compound: Na4NiO4
Radiation: copper Kα
Structure: a PBE+U-relaxed structure
No peak broadening, texture or thermal motion is included.

a b c (Å): 5.7057 5.7107 8.6768
angles (deg): 71.67 80.66 68.23
Space group P-1 (No. 2)
Unique sites:
Na: 0.2343 0.4795 0.0723 (multiplicity 2)
Na: 0.2465 0.2400 0.4829 (multiplicity 2)
Na: 0.2491 0.5950 0.6791 (multiplicity 2)
Na: 0.2570 0.0498 0.8980 (multiplicity 2)
Ni: 0.2186 0.8490 0.2554 (multiplicity 2)
O: 0.0216 0.1684 0.1392 (multiplicity 2)
O: 0.0246 0.6349 0.3034 (multiplicity 2)
O: 0.3565 0.8418 0.4293 (multiplicity 2)
O: 0.4765 0.7075 0.1159 (multiplicity 2)

The 8 most intense peaks (10° ≤ 2θ ≤ 80°), in order of rising 2θ:
(0 1 1), 17.8 deg, I 69; (1 0 1), 19.5 deg, I 50; (1 0 -1), 20.4 deg, I 43; (1 1 -2), 33.4 deg, I 61; (0 2 1), 33.9 deg, I 100; (2 2 1), 38.1 deg, I 84; (1 -1 2), 38.2 deg, I 80; (-1 1 3), 40.3 deg, I 77